(1)
Computed X-ray diffraction stick pattern of NpMo6Se8 for Cu Kα, 1.54184 Å, from the PBE geometry in the Materials Project.
Neutral-atom scattering factors, no anomalous dispersion.

Cell and atoms:
```
data_NpMo6Se8
_chemical_formula_sum 'Np1 Mo6 Se8'
_cell_length_a 6.781
_cell_length_b 6.781
_cell_length_c 6.781
_cell_angle_alpha 89.06
_cell_angle_beta 89.06
_cell_angle_gamma 89.06
_space_group_name_H-M_alt 'P 1'
_space_group_IT_number 1
loop_
_space_group_symop_operation_xyz
'x,y,z'
loop_
_atom_site_label
_atom_site_type_symbol
_atom_site_fract_x
_atom_site_fract_y
_atom_site_fract_z
_atom_site_occupancy
Np1 Np 0.000 0.000 0.000 1
Mo1 Mo 0.234 0.424 0.560 1
Mo2 Mo 0.424 0.560 0.234 1
Mo3 Mo 0.440 0.766 0.576 1
Mo4 Mo 0.560 0.234 0.424 1
Mo5 Mo 0.576 0.440 0.766 1
Mo6 Mo 0.766 0.576 0.440 1
Se1 Se 0.121 0.758 0.370 1
Se2 Se 0.239 0.239 0.239 1
Se3 Se 0.242 0.630 0.879 1
Se4 Se 0.370 0.121 0.758 1
Se5 Se 0.630 0.879 0.242 1
Se6 Se 0.758 0.370 0.121 1
Se7 Se 0.761 0.761 0.761 1
Se8 Se 0.879 0.242 0.630 1
```

Peak list (6 most intense, 2θ from 10° to 90°, sorted by position)
2θ (°), Rel. int.
18.4, 60
29.7, 57
32.6, 60
40.2, 93
41.9, 71
44.4, 100

(2)
Computed X-ray diffraction stick pattern of Np2Si4Mo3 for Cu Kα, 1.54184 Å, from the PBE geometry in the Materials Project.
Neutral-atom scattering factors, no anomalous dispersion.

Cell and atoms:
```
data_Np2Si4Mo3
_chemical_formula_sum 'Np4 Si8 Mo6'
_cell_length_a 6.870
_cell_length_b 6.888
_cell_length_c 6.781
_cell_angle_alpha 90.00
_cell_angle_beta 109.75
_cell_angle_gamma 90.00
_space_group_name_H-M_alt 'P 1'
_space_group_IT_number 1
loop_
_space_group_symop_operation_xyz
'x,y,z'
loop_
_atom_site_label
_atom_site_type_symbol
_atom_site_fract_x
_atom_site_fract_y
_atom_site_fract_z
_atom_site_occupancy
Np1 Np 0.182 0.161 0.056 1
Np2 Np 0.182 0.339 0.556 1
Np3 Np 0.818 0.661 0.444 1
Np4 Np 0.818 0.839 0.944 1
Si1 Si 0.091 0.544 0.872 1
Si2 Si 0.091 0.956 0.372 1
Si3 Si 0.499 0.133 0.867 1
Si4 Si 0.499 0.367 0.367 1
Si5 Si 0.501 0.633 0.633 1
Si6 Si 0.501 0.867 0.133 1
Si7 Si 0.909 0.044 0.628 1
Si8 Si 0.909 0.456 0.128 1
Mo1 Mo 0.249 0.664 0.252 1
Mo2 Mo 0.249 0.836 0.752 1
Mo3 Mo 0.500 0.000 0.500 1
Mo4 Mo 0.500 0.500 0.000 1
Mo5 Mo 0.751 0.164 0.248 1
Mo6 Mo 0.751 0.336 0.748 1
```

Peak list (6 most intense, 2θ from 10° to 90°, sorted by position)
2θ (°), Rel. int.
30.5, 55
34.7, 100
37.3, 84
37.7, 73
41.8, 53
41.9, 52

(3)
Computed X-ray diffraction stick pattern of Mo3Os for Cu Kα, 1.54184 Å, from the PBE geometry in the Materials Project.
Neutral-atom scattering factors, no anomalous dispersion.

Cell and atoms:
```
data_Mo3Os
_chemical_formula_sum 'Mo6 Os2'
_cell_length_a 5.003
_cell_length_b 5.003
_cell_length_c 5.003
_cell_angle_alpha 90.00
_cell_angle_beta 90.00
_cell_angle_gamma 90.00
_space_group_name_H-M_alt 'P 1'
_space_group_IT_number 1
loop_
_space_group_symop_operation_xyz
'x,y,z'
loop_
_atom_site_label
_atom_site_type_symbol
_atom_site_fract_x
_atom_site_fract_y
_atom_site_fract_z
_atom_site_occupancy
Mo1 Mo 0.000 0.250 0.500 1
Mo2 Mo 0.000 0.750 0.500 1
Mo3 Mo 0.250 0.500 0.000 1
Mo4 Mo 0.500 0.000 0.250 1
Mo5 Mo 0.500 0.000 0.750 1
Mo6 Mo 0.750 0.500 0.000 1
Os1 Os 0.000 0.000 0.000 1
Os2 Os 0.500 0.500 0.500 1
```

Peak list (6 most intense, 2θ from 10° to 90°, sorted by position)
2θ (°), Rel. int.
25.2, 21
35.9, 45
40.3, 62
44.3, 100
70.4, 51
87.1, 15

(4)
Computed X-ray diffraction stick pattern of V2MoOs for Cu Kα, 1.54184 Å, from the PBE geometry in the Materials Project.
Neutral-atom scattering factors, no anomalous dispersion.

Cell and atoms:
```
data_V2MoOs
_chemical_formula_sum 'V2 Mo1 Os1'
_cell_length_a 4.305
_cell_length_b 4.305
_cell_length_c 4.305
_cell_angle_alpha 60.00
_cell_angle_beta 60.00
_cell_angle_gamma 60.00
_space_group_name_H-M_alt 'P 1'
_space_group_IT_number 1
loop_
_space_group_symop_operation_xyz
'x,y,z'
loop_
_atom_site_label
_atom_site_type_symbol
_atom_site_fract_x
_atom_site_fract_y
_atom_site_fract_z
_atom_site_occupancy
V1 V 0.250 0.250 0.250 1
V2 V 0.750 0.750 0.750 1
Mo1 Mo 0.000 0.000 0.000 1
Os1 Os 0.500 0.500 0.500 1
```

Peak list (6 most intense, 2θ from 10° to 90°, sorted by position)
2θ (°), Rel. int.
25.3, 13
29.3, 30
42.0, 100
60.9, 16
69.0, 12
76.7, 33

(5)
Computed X-ray diffraction stick pattern of MoP2 for Cu Kα, 1.54184 Å, from the PBE geometry in the Materials Project.
Neutral-atom scattering factors, no anomalous dispersion.

Cell and atoms:
```
data_MoP2
_chemical_formula_sum 'Mo1 P2'
_cell_length_a 2.983
_cell_length_b 2.983
_cell_length_c 15.335
_cell_angle_alpha 90.00
_cell_angle_beta 90.00
_cell_angle_gamma 120.00
_space_group_name_H-M_alt 'P 1'
_space_group_IT_number 1
loop_
_space_group_symop_operation_xyz
'x,y,z'
loop_
_atom_site_label
_atom_site_type_symbol
_atom_site_fract_x
_atom_site_fract_y
_atom_site_fract_z
_atom_site_occupancy
Mo1 Mo 0.000 0.000 0.000 1
P1 P 0.333 0.667 0.118 1
P2 P 0.333 0.667 0.882 1
```

Peak list (6 most intense, 2θ from 10° to 90°, sorted by position)
2θ (°), Rel. int.
11.5, 100
35.2, 27
36.7, 31
39.1, 41
42.2, 42
45.9, 29

(6)
Computed X-ray diffraction stick pattern of MoP3 for Cu Kα, 1.54184 Å, from the PBE geometry in the Materials Project.
Neutral-atom scattering factors, no anomalous dispersion.

Cell and atoms:
```
data_MoP3
_chemical_formula_sum 'Mo1 P3'
_cell_length_a 4.287
_cell_length_b 4.287
_cell_length_c 4.287
_cell_angle_alpha 60.00
_cell_angle_beta 60.00
_cell_angle_gamma 60.00
_space_group_name_H-M_alt 'P 1'
_space_group_IT_number 1
loop_
_space_group_symop_operation_xyz
'x,y,z'
loop_
_atom_site_label
_atom_site_type_symbol
_atom_site_fract_x
_atom_site_fract_y
_atom_site_fract_z
_atom_site_occupancy
Mo1 Mo 0.000 0.000 0.000 1
P1 P 0.250 0.250 0.250 1
P2 P 0.500 0.500 0.500 1
P3 P 0.750 0.750 0.750 1
```

Peak list (6 most intense, 2θ from 10° to 90°, sorted by position)
2θ (°), Rel. int.
25.4, 33
29.5, 17
42.2, 100
49.9, 16
61.1, 16
77.1, 33

(7)
Computed X-ray diffraction stick pattern of MoP for Cu Kα, 1.54184 Å, from the PBE geometry in the Materials Project.
Neutral-atom scattering factors, no anomalous dispersion.

Cell and atoms:
```
data_MoP
_chemical_formula_sum 'Mo1 P1'
_cell_length_a 3.507
_cell_length_b 3.507
_cell_length_c 3.507
_cell_angle_alpha 60.00
_cell_angle_beta 60.00
_cell_angle_gamma 60.00
_space_group_name_H-M_alt 'P 1'
_space_group_IT_number 1
loop_
_space_group_symop_operation_xyz
'x,y,z'
loop_
_atom_site_label
_atom_site_type_symbol
_atom_site_fract_x
_atom_site_fract_y
_atom_site_fract_z
_atom_site_occupancy
Mo1 Mo 0.000 0.000 0.000 1
P1 P 0.500 0.500 0.500 1
```

Peak list (6 most intense, 2θ from 10° to 90°, sorted by position)
2θ (°), Rel. int.
31.2, 54
36.2, 100
52.2, 67
62.1, 22
65.2, 22
88.1, 31

(8)
Computed X-ray diffraction stick pattern of MoP for Cu Kα, 1.54184 Å, from the PBE geometry in the Materials Project.
Neutral-atom scattering factors, no anomalous dispersion.

Cell and atoms:
```
data_MoP
_chemical_formula_sum 'Mo1 P1'
_cell_length_a 3.840
_cell_length_b 3.840
_cell_length_c 3.840
_cell_angle_alpha 60.00
_cell_angle_beta 60.00
_cell_angle_gamma 60.00
_space_group_name_H-M_alt 'P 1'
_space_group_IT_number 1
loop_
_space_group_symop_operation_xyz
'x,y,z'
loop_
_atom_site_label
_atom_site_type_symbol
_atom_site_fract_x
_atom_site_fract_y
_atom_site_fract_z
_atom_site_occupancy
Mo1 Mo 0.000 0.000 0.000 1
P1 P 0.750 0.750 0.750 1
```

Peak list (6 most intense, 2θ from 10° to 90°, sorted by position)
2θ (°), Rel. int.
28.5, 100
33.0, 22
47.3, 55
56.2, 41
76.5, 17
88.1, 19

(9)
Computed X-ray diffraction stick pattern of Mo3P for Cu Kα, 1.54184 Å, from the PBE geometry in the Materials Project.
Neutral-atom scattering factors, no anomalous dispersion.

Cell and atoms:
```
data_Mo3P
_chemical_formula_sum 'Mo12 P4'
_cell_length_a 7.378
_cell_length_b 7.378
_cell_length_c 7.378
_cell_angle_alpha 96.20
_cell_angle_beta 96.20
_cell_angle_gamma 141.63
_space_group_name_H-M_alt 'P 1'
_space_group_IT_number 1
loop_
_space_group_symop_operation_xyz
'x,y,z'
loop_
_atom_site_label
_atom_site_type_symbol
_atom_site_fract_x
_atom_site_fract_y
_atom_site_fract_z
_atom_site_occupancy
Mo1 Mo 0.000 0.355 0.355 1
Mo2 Mo 0.000 0.645 0.645 1
Mo3 Mo 0.068 0.470 0.000 1
Mo4 Mo 0.139 0.139 0.815 1
Mo5 Mo 0.325 0.325 0.185 1
Mo6 Mo 0.355 0.000 0.355 1
Mo7 Mo 0.470 0.068 0.000 1
Mo8 Mo 0.530 0.530 0.598 1
Mo9 Mo 0.645 0.000 0.645 1
Mo10 Mo 0.675 0.861 0.000 1
Mo11 Mo 0.861 0.675 0.000 1
Mo12 Mo 0.932 0.932 0.402 1
P1 P 0.208 0.500 0.708 1
P2 P 0.500 0.208 0.708 1
P3 P 0.500 0.792 0.292 1
P4 P 0.792 0.500 0.292 1
```

Peak list (6 most intense, 2θ from 10° to 90°, sorted by position)
2θ (°), Rel. int.
37.8, 93
38.8, 43
39.3, 57
41.0, 31
42.1, 100
45.6, 30

(10)
Computed X-ray diffraction stick pattern of Mo8P5 for Cu Kα, 1.54184 Å, from the PBE geometry in the Materials Project.
Neutral-atom scattering factors, no anomalous dispersion.

Cell and atoms:
```
data_Mo8P5
_chemical_formula_sum 'Mo8 P5'
_cell_length_a 6.584
_cell_length_b 3.206
_cell_length_c 9.473
_cell_angle_alpha 90.00
_cell_angle_beta 109.37
_cell_angle_gamma 90.00
_space_group_name_H-M_alt 'P 1'
_space_group_IT_number 1
loop_
_space_group_symop_operation_xyz
'x,y,z'
loop_
_atom_site_label
_atom_site_type_symbol
_atom_site_fract_x
_atom_site_fract_y
_atom_site_fract_z
_atom_site_occupancy
Mo1 Mo 0.000 0.000 0.000 1
Mo2 Mo 0.008 0.000 0.322 1
Mo3 Mo 0.189 0.500 0.789 1
Mo4 Mo 0.401 0.500 0.519 1
Mo5 Mo 0.441 0.000 0.264 1
Mo6 Mo 0.562 0.000 0.791 1
Mo7 Mo 0.670 0.500 0.074 1
Mo8 Mo 0.794 0.000 0.569 1
P1 P 0.146 0.500 0.195 1
P2 P 0.174 0.000 0.588 1
P3 P 0.374 0.000 0.996 1
P4 P 0.736 0.500 0.363 1
P5 P 0.820 0.500 0.783 1
```

Peak list (6 most intense, 2θ from 10° to 90°, sorted by position)
2θ (°), Rel. int.
34.1, 33
34.5, 47
34.7, 41
40.4, 100
40.7, 34
41.4, 68

(11)
Computed X-ray diffraction stick pattern of Mo3P for Cu Kα, 1.54184 Å, from the PBE geometry in the Materials Project.
Neutral-atom scattering factors, no anomalous dispersion.

Cell and atoms:
```
data_Mo3P
_chemical_formula_sum 'Mo12 P4'
_cell_length_a 7.380
_cell_length_b 7.380
_cell_length_c 7.380
_cell_angle_alpha 96.19
_cell_angle_beta 96.19
_cell_angle_gamma 141.65
_space_group_name_H-M_alt 'P 1'
_space_group_IT_number 1
loop_
_space_group_symop_operation_xyz
'x,y,z'
loop_
_atom_site_label
_atom_site_type_symbol
_atom_site_fract_x
_atom_site_fract_y
_atom_site_fract_z
_atom_site_occupancy
Mo1 Mo 0.067 0.063 0.596 1
Mo2 Mo 0.139 0.323 0.997 1
Mo3 Mo 0.326 0.142 0.003 1
Mo4 Mo 0.357 0.003 0.357 1
Mo5 Mo 0.467 0.471 0.404 1
Mo6 Mo 0.529 0.933 0.997 1
Mo7 Mo 0.646 0.001 0.643 1
Mo8 Mo 0.677 0.674 0.815 1
Mo9 Mo 0.858 0.861 0.185 1
Mo10 Mo 0.937 0.533 0.003 1
Mo11 Mo 0.997 0.354 0.355 1
Mo12 Mo 0.999 0.643 0.645 1
P1 P 0.211 0.499 0.705 1
P2 P 0.495 0.789 0.288 1
P3 P 0.501 0.207 0.712 1
P4 P 0.793 0.505 0.295 1
```

Peak list (6 most intense, 2θ from 10° to 90°, sorted by position)
2θ (°), Rel. int.
37.8, 94
38.8, 42
39.4, 56
40.9, 32
42.1, 100
45.6, 30

(12)
Computed X-ray diffraction stick pattern of MoP2 for Cu Kα, 1.54184 Å, from the PBE geometry in the Materials Project.
Neutral-atom scattering factors, no anomalous dispersion.

Cell and atoms:
```
data_MoP2
_chemical_formula_sum 'Mo2 P4'
_cell_length_a 5.842
_cell_length_b 5.842
_cell_length_c 5.011
_cell_angle_alpha 90.00
_cell_angle_beta 90.00
_cell_angle_gamma 148.63
_space_group_name_H-M_alt 'P 1'
_space_group_IT_number 1
loop_
_space_group_symop_operation_xyz
'x,y,z'
loop_
_atom_site_label
_atom_site_type_symbol
_atom_site_fract_x
_atom_site_fract_y
_atom_site_fract_z
_atom_site_occupancy
Mo1 Mo 0.094 0.906 0.500 1
Mo2 Mo 0.906 0.094 0.000 1
P1 P 0.298 0.702 0.302 1
P2 P 0.430 0.570 0.618 1
P3 P 0.570 0.430 0.118 1
P4 P 0.702 0.298 0.802 1
```

Peak list (6 most intense, 2θ from 10° to 90°, sorted by position)
2θ (°), Rel. int.
23.8, 72
34.5, 71
36.6, 28
41.5, 100
47.0, 39
49.8, 25